The following is a calculated powder diffraction line list of RbBr3. It was derived from a PBE-relaxed structure, using CuKα.

Atomic structure:
a b c (Å): 8.2369 8.2369 8.2369
angles (deg): 148.42 148.42 45.27
Fractional coordinates of all 4 atoms:
Rb 0.0000 0.0000 0.0000
Br 0.2500 0.7500 0.5000
Br 0.5000 0.5000 0.0000
Br 0.7500 0.2500 0.5000

Largest 6 diffraction maxima, sorted by position, 10 to 90 degrees two-theta:
Position (°2θ)  I_rel
23.4  50
30.6  100
40.2  23
45.8  32
47.1  29
67.2  20